[1]
This entry pairs a crystal structure of K2PS3 with its computed X-ray powder pattern. Radiation: λ = 1.5418 Å (Cu Kα). Structure: a cell relaxed with GGA-PBE.
Kinematic intensities with the Lorentz-polarization factor, no thermal factor.

Crystal structure
```
data_K2PS3
_cell_length_a 13.488
_cell_length_b 12.083
_cell_length_c 8.517
_cell_angle_alpha 90.00
_cell_angle_beta 91.53
_cell_angle_gamma 90.00
_space_group_name_H-M_alt 'P 1 21/c 1'
_space_group_IT_number 14
loop_
_space_group_symop_operation_xyz
'x,y,z'
'-x,-y,-z'
'-x,y+1/2,-z+1/2'
'x,-y+1/2,z+1/2'
loop_
_atom_site_label
_atom_site_type_symbol
_atom_site_fract_x
_atom_site_fract_y
_atom_site_fract_z
_atom_site_occupancy
K1 K 0.065 0.197 0.360 1
K2 K 0.202 0.613 0.785 1
K3 K 0.323 0.569 0.339 1
K4 K 0.412 0.236 0.224 1
P1 P 0.071 0.505 0.428 1
P2 P 0.429 0.531 0.937 1
S1 S 0.036 0.045 0.706 1
S2 S 0.110 0.668 0.439 1
S3 S 0.174 0.094 0.037 1
S4 S 0.318 0.075 0.498 1
S5 S 0.405 0.687 0.019 1
S6 S 0.455 0.530 0.702 1
```

Most intense lines, 10 to 90 degrees two-theta, sorted by position:
2θ (°)	d (Å)	intensity	hkl
13.13	6.741	372	2 0 0
14.19	6.240	766	1 1 -1
14.45	6.130	411	1 1 1
14.66	6.042	379	0 2 0
29.17	3.061	723	4 1 -1
30.22	2.958	431	3 1 2
31.41	2.848	661	1 3 2
32.44	2.760	1000	4 2 1
33.27	2.693	400	1 1 3
34.08	2.631	715	2 4 -1


[2]
This entry pairs a crystal structure of KSmP2S7 with its computed X-ray powder pattern. Radiation: λ = 1.5418 Å (Cu Kα). Structure: a cell relaxed with GGA-PBE.
Kinematic intensities with the Lorentz-polarization factor, no thermal factor.

Crystal structure
```
data_KSmP2S7
_cell_length_a 9.847
_cell_length_b 12.524
_cell_length_c 9.089
_cell_angle_alpha 90.00
_cell_angle_beta 90.31
_cell_angle_gamma 90.00
_space_group_name_H-M_alt 'P 1 21/c 1'
_space_group_IT_number 14
loop_
_space_group_symop_operation_xyz
'x,y,z'
'-x,-y,-z'
'-x,y+1/2,-z+1/2'
'x,-y+1/2,z+1/2'
loop_
_atom_site_label
_atom_site_type_symbol
_atom_site_fract_x
_atom_site_fract_y
_atom_site_fract_z
_atom_site_occupancy
K1 K 0.106 0.192 0.131 1
Sm1 Sm 0.358 0.642 0.607 1
P1 P 0.226 0.604 0.977 1
P2 P 0.317 0.036 0.803 1
S1 S 0.130 0.709 0.111 1
S2 S 0.134 0.557 0.789 1
S3 S 0.168 0.525 0.432 1
S4 S 0.253 0.050 0.579 1
S5 S 0.353 0.192 0.852 1
S6 S 0.408 0.671 0.925 1
S7 S 0.486 0.557 0.323 1
```

Most intense lines, 10 to 90 degrees two-theta, sorted by position:
2θ (°)	d (Å)	intensity	hkl
11.43	7.741	1000	1 1 0
12.03	7.356	339	0 1 1
17.20	5.157	557	0 2 1
19.40	4.576	630	1 2 -1
22.65	3.926	382	1 1 -2
25.04	3.556	556	2 2 1
25.17	3.538	353	1 3 1
29.73	3.005	327	3 1 -1
31.57	2.834	326	1 4 1
34.12	2.627	332	1 2 3


[3]
This entry pairs a crystal structure of K3Sn2P5S18 with its computed X-ray powder pattern. Radiation: λ = 1.5418 Å (Cu Kα). Structure: a cell relaxed with GGA-PBE.
Kinematic intensities with the Lorentz-polarization factor, no thermal factor.

Crystal structure
```
data_K3Sn2P5S18
_cell_length_a 23.747
_cell_length_b 6.168
_cell_length_c 21.309
_cell_angle_alpha 90.00
_cell_angle_beta 106.32
_cell_angle_gamma 90.00
_space_group_name_H-M_alt 'C 1 2/c 1'
_space_group_IT_number 15
loop_
_space_group_symop_operation_xyz
'x,y,z'
'-x,-y,-z'
'-x,y,-z+1/2'
'x,-y,z+1/2'
'x+1/2,y+1/2,z'
'-x+1/2,-y+1/2,-z'
'-x+1/2,y+1/2,-z+1/2'
'x+1/2,-y+1/2,z+1/2'
loop_
_atom_site_label
_atom_site_type_symbol
_atom_site_fract_x
_atom_site_fract_y
_atom_site_fract_z
_atom_site_occupancy
K1 K 0.000 0.000 0.000 1
K2 K 0.155 0.110 0.174 1
Sn1 Sn 0.119 0.255 0.374 1
P1 P 0.000 0.251 0.250 1
P2 P 0.122 0.436 0.519 1
P3 P 0.246 0.097 0.360 1
S1 S 0.018 0.062 0.334 1
S2 S 0.072 0.472 0.579 1
S3 S 0.075 0.434 0.260 1
S4 S 0.091 0.409 0.930 1
S5 S 0.133 0.116 0.494 1
S6 S 0.167 0.074 0.835 1
S7 S 0.207 0.416 0.054 1
S8 S 0.211 0.392 0.707 1
S9 S 0.223 0.399 0.387 1
```

Most intense lines, 10 to 90 degrees two-theta, sorted by position:
2θ (°)	d (Å)	intensity	hkl
13.16	6.728	318	2 0 2
15.19	5.833	1000	1 1 -1
15.54	5.701	324	4 0 0
19.79	4.487	199	3 1 1
30.62	2.919	192	2 2 -2
31.06	2.879	333	7 1 0
31.18	2.869	316	1 1 6
31.91	2.805	244	2 2 -3
42.11	2.146	182	6 2 -6
52.08	1.756	231	5 3 3


- Number 2 is which compound?
  KSmP2S7